Structure and calculated powder X-ray diffraction pattern of Co2GeIrO6 (a cell relaxed with GGA+U; CuKα).

Structural model:
Lattice parameters (Å, degrees): 5.3433 5.3433 5.3433 57.16 57.16 57.16
Fractional positions:
Co: 0.0000 0.0000 0.0000
Co: 0.4845 0.4845 0.4845
Ge: 0.2004 0.2004 0.2004
Ir: 0.6877 0.6877 0.6877
O: 0.0835 0.8125 0.3830
O: 0.2695 0.5909 0.9210
O: 0.3830 0.0835 0.8125
O: 0.5909 0.9210 0.2695
O: 0.8125 0.3830 0.0835
O: 0.9210 0.2695 0.5909

Top 10 peaks for 15 to 90 degrees two-theta, in order of rising 2θ:
- 4.203 Å, 2θ 21.14, rel. 30.3
- 3.691 Å, 2θ 24.11, rel. 79.6
- 2.667 Å, 2θ 33.61, rel. 91.5
- 2.556 Å, 2θ 35.10, rel. 100.0
- 2.217 Å, 2θ 40.70, rel. 25.1
- 1.845 Å, 2θ 49.39, rel. 36.0
- 1.679 Å, 2θ 54.66, rel. 61.1
- 1.496 Å, 2θ 62.03, rel. 34.1
- 1.476 Å, 2θ 62.98, rel. 31.7
- 1.279 Å, 2θ 74.16, rel. 24.3